# 1
Nd5Co19: calculated powder X-ray diffraction pattern (Cu Kα), based on a crystal structure in the Materials Project, relaxed with PBE.
Lines closer than 0.1° are merged.

Top 6 peaks for 10° ≤ 2θ ≤ 90°, by intensity:
2theta	Rel. int.	(hkl)
42.28	100	1 1 12
35.69	44	1 1 0
31.52	37	1 0 13
41.49	32	0 2 1
32.98	25	0 1 14
68.64	22	0 3 12

a = 5.0317 Å, b = 5.0317 Å, c = 48.6244 Å
α = 90.00°, β = 90.00°, γ = 120.00°
Space group R-3m (No. 166, hexagonal axes)
Inequivalent atoms, fractional coordinates:
Nd 0.0000 0.0000 0.0000 x3
Nd 0.0000 0.0000 0.0790 x6
Nd 0.0000 0.0000 0.1527 x6
Co 0.0000 0.0000 0.2512 x6
Co 0.0000 0.0000 0.3337 x6
Co 0.0000 0.0000 0.4147 x6
Co 0.0000 0.0000 0.5000 x3
Co 0.0006 0.5003 0.9594 x18
Co 0.0039 0.5020 0.1218 x18

# 2
Mg3Zn: calculated powder X-ray diffraction pattern (Cu Kα), based on a crystal structure in the Materials Project, relaxed with PBE.
Lines closer than 0.1° are merged.

Top 6 peaks for 10° ≤ 2θ ≤ 90°, by intensity:
2theta	Rel. int.	(hkl)
38.45	100	2 0 1
24.52	29	1 0 1
36.08	27	0 0 2
33.79	24	2 0 0
72.45	19	2 2 2
66.45	18	2 0 3

a = 6.1262 Å, b = 6.1262 Å, c = 4.9791 Å
α = 90.00°, β = 90.00°, γ = 120.00°
Space group P6_3/mmc (No. 194)
Inequivalent atoms, fractional coordinates:
Mg 0.1702 0.3405 0.2500 x6
Zn 0.3333 0.6667 0.7500 x2

# 3
K2Zr: calculated powder X-ray diffraction pattern (Cu Kα), based on a crystal structure in the Materials Project, relaxed with PBE.
Lines closer than 0.1° are merged.

Top 6 peaks for 10° ≤ 2θ ≤ 90°, by intensity:
2theta	Rel. int.	(hkl)
27.17	100	1 1 0
27.58	73	1 0 2
19.26	30	1 0 1
48.27	28	2 1 2
39.10	27	2 0 2
35.63	27	1 1 2

a = 6.5644 Å, b = 6.5644 Å, c = 7.8650 Å
α = 90.00°, β = 90.00°, γ = 120.00°
Space group P6_3/mmc (No. 194)
Inequivalent atoms, fractional coordinates:
K 0.0000 0.0000 0.0000 x2
K 0.3333 0.6667 0.2500 x2
Zr 0.3333 0.6667 0.7500 x2

# 4
Ba3PrRu2O9: calculated powder X-ray diffraction pattern (Cu Kα), based on a crystal structure in the Materials Project, relaxed with PBE.
Lines closer than 0.1° are merged.

Top 6 peaks for 10° ≤ 2θ ≤ 90°, by intensity:
2theta	Rel. int.	(hkl)
29.70	100	1 1 0
29.32	75	1 0 4
42.22	43	2 0 4
52.47	28	2 1 4
24.66	21	1 0 3
52.71	20	3 0 0

a = 6.0160 Å, b = 6.0160 Å, c = 15.0218 Å
α = 90.00°, β = 90.00°, γ = 120.00°
Space group P6_3/mmc (No. 194)
Inequivalent atoms, fractional coordinates:
Ba 0.0000 0.0000 0.2500 x2
Ba 0.3333 0.6667 0.1055 x4
Pr 0.0000 0.0000 0.0000 x2
Ru 0.3333 0.6667 0.6669 x4
O 0.0176 0.5088 0.7500 x6
O 0.1783 0.3566 0.5940 x12

# 5
Cs3VS4: calculated powder X-ray diffraction pattern (Cu Kα), based on a crystal structure in the Materials Project, relaxed with PBE.
Lines closer than 0.1° are merged.

Top 6 peaks for 10° ≤ 2θ ≤ 90°, by intensity:
2theta	Rel. int.	(hkl)
23.45	100	0 2 2
30.45	47	0 4 0
29.07	41	2 3 0
35.98	33	2 2 3
25.35	32	2 0 2
25.11	31	1 2 2

a = 9.9087 Å, b = 11.7433 Å, c = 9.9637 Å
α = 90.00°, β = 90.00°, γ = 90.00°
Space group Pnma (No. 62)
Inequivalent atoms, fractional coordinates:
Cs 0.0443 0.0430 0.2088 x8
Cs 0.1499 0.7500 0.4124 x4
V 0.2230 0.7500 0.9822 x4
S 0.0199 0.7500 0.0644 x4
S 0.1725 0.0976 0.5455 x8
S 0.2109 0.7500 0.7645 x4

# 6
K3Ca: calculated powder X-ray diffraction pattern (Cu Kα), based on a crystal structure in the Materials Project, relaxed with PBE.
Lines closer than 0.1° are merged.

Top 6 peaks for 10° ≤ 2θ ≤ 90°, by intensity:
2theta	Rel. int.	(hkl)
24.38	100	1 1 1
28.22	51	2 0 0
47.69	41	3 1 1
40.34	35	2 2 0
64.19	15	3 3 1
66.07	14	4 2 0

a = 6.3241 Å, b = 6.3241 Å, c = 6.3241 Å
α = 90.00°, β = 90.00°, γ = 90.00°
Space group Pm-3m (No. 221)
Inequivalent atoms, fractional coordinates:
K 0.0000 0.0000 0.5000 x3
Ca 0.5000 0.5000 0.5000 x1

# 7
Nd3Al12Os4: calculated powder X-ray diffraction pattern (Cu Kα), based on a crystal structure in the Materials Project, relaxed with PBE.
Lines closer than 0.1° are merged.

Top 6 peaks for 10° ≤ 2θ ≤ 90°, by intensity:
2theta	Rel. int.	(hkl)
29.57	100	2 0 2
40.42	56	2 2 0
23.01	37	2 0 0
56.03	30	2 2 4
37.11	24	0 0 4
36.24	22	2 0 3

a = 8.9256 Å, b = 8.9256 Å, c = 9.6903 Å
α = 90.00°, β = 90.00°, γ = 120.00°
Space group P6_3/mmc (No. 194)
Inequivalent atoms, fractional coordinates:
Nd 0.1925 0.3850 0.2500 x6
Al 0.0000 0.0000 0.2500 x2
Al 0.1227 0.5613 0.7500 x6
Al 0.1627 0.3254 0.5745 x12
Al 0.3333 0.6667 0.0096 x4
Os 0.0000 0.0000 0.0000 x2
Os 0.0000 0.5000 0.0000 x6